Computed X-ray powder pattern
Compound: Hf6AsS
Radiation: copper Kα
Structure: a cell relaxed with PBE
Lines closer than 0.1° are merged.

Structural model:
```
Hf6AsS
1.0
2.998 1.731 5.612
-2.998 1.731 5.612
0.000 -3.462 5.612
Hf As S
6 1 1
Direct
0.062 0.747 0.452 Hf
0.253 0.548 0.938 Hf
0.452 0.062 0.747 Hf
0.548 0.938 0.253 Hf
0.747 0.452 0.062 Hf
0.938 0.253 0.548 Hf
0.000 0.000 0.000 As
0.500 0.500 0.500 S
```

Principal peaks in the range 2θ = 10–80°, in order of rising 2θ:
2θ 29.80, rel. 14
2θ 31.90, rel. 22
2θ 33.90, rel. 100
2θ 44.21, rel. 24
2θ 52.90, rel. 20
2θ 58.13, rel. 21
2θ 63.11, rel. 15
2θ 64.33, rel. 13

---

Computed X-ray powder pattern
Compound: La2Zn12Au7
Radiation: copper Kα
Structure: a cell relaxed with PBE
Lines closer than 0.1° are merged.

Structural model:
```
La2Zn12Au7
1.0
10.491 0.000 0.000
-5.246 9.086 0.000
0.000 0.000 4.222
La Zn Au
2 12 7
Direct
0.333 0.667 0.247 La
0.667 0.333 0.753 La
0.048 0.431 0.750 Zn
0.121 0.263 0.241 Zn
0.142 0.879 0.241 Zn
0.263 0.142 0.759 Zn
0.383 0.952 0.750 Zn
0.431 0.383 0.250 Zn
0.569 0.617 0.750 Zn
0.617 0.048 0.250 Zn
0.737 0.858 0.241 Zn
0.858 0.121 0.759 Zn
0.879 0.737 0.759 Zn
0.952 0.569 0.250 Zn
0.000 0.000 0.500 Au
0.122 0.711 0.749 Au
0.289 0.411 0.749 Au
0.411 0.122 0.251 Au
0.589 0.878 0.749 Au
0.711 0.589 0.251 Au
0.878 0.289 0.251 Au
```

Principal peaks in the range 2θ = 10–80°, in order of rising 2θ:
2θ 25.95, rel. 61
2θ 27.11, rel. 25
2θ 28.87, rel. 38
2θ 33.64, rel. 100
2θ 41.74, rel. 51
2θ 42.83, rel. 29
2θ 45.76, rel. 52
2θ 48.72, rel. 31